(1)
Starting from DFT lattice parameters and positions (GGA-PBE), the X-ray diffraction stick pattern of ZrSbAu2 was calculated for copper Kα.
Peak positions follow from Bragg's law for the DFT cell and can differ from measured ones.

Most intense lines, 10° ≤ 2θ ≤ 90°, by angle:
Position (°2θ)	I (rel.)
35.86	100.0
39.62	19.0
42.64	30.9
59.60	23.0
61.88	10.3
69.45	14.6
73.64	24.8
76.02	11.4

Crystal structure
abc: 4.241 4.241 9.100
angles: 90.00 90.00 90.00
Space group I4/mmm (No. 139)
Inequivalent atoms, fractional coordinates:
Zr1 0.000 0.000 0.000 x2
Sb1 0.000 0.000 0.500 x2
Au1 0.000 0.500 0.250 x4



(2)
Starting from DFT lattice parameters and positions (GGA-PBE), the X-ray diffraction stick pattern of Rb3Ti was calculated for copper Kα.
Peak positions follow from Bragg's law for the DFT cell and can differ from measured ones.

Most intense lines, 10° ≤ 2θ ≤ 90°, by angle:
Position (°2θ)	I (rel.)
23.09	23.3
25.33	25.4
26.38	100.0
34.54	16.2
40.57	19.3
45.29	22.1
48.43	22.7
49.04	16.0

Crystal structure
abc: 8.8951 8.8951 7.0315
angles: 90.00 90.00 120.00
Space group P6_3/mmc (No. 194)
Inequivalent atoms, fractional coordinates:
Rb1 0.1769 0.3538 0.2500 x6
Ti1 0.3333 0.6667 0.7500 x2



(3)
Starting from DFT lattice parameters and positions (GGA-PBE), the X-ray diffraction stick pattern of Y2GaNi5Rh2 was calculated for copper Kα.
Peak positions follow from Bragg's law for the DFT cell and can differ from measured ones.

Most intense lines, 10° ≤ 2θ ≤ 90°, by angle:
Position (°2θ)	I (rel.)
36.78	14.0
39.44	100.0
40.84	21.0
42.08	19.1
43.17	28.5
46.66	15.5
48.55	23.3
84.48	10.1

Crystal structure
abc: 9.111 9.111 3.750
angles: 90.00 90.00 90.00
Space group P4/mbm (No. 127)
Inequivalent atoms, fractional coordinates:
Y1 0.170 0.330 0.000 x4
Ga1 0.000 0.000 0.000 x2
Ni1 0.000 0.500 0.500 x2
Ni2 0.057 0.810 0.500 x8
Rh1 0.130 0.630 0.000 x4



(4)
Starting from DFT lattice parameters and positions (GGA-PBE), the X-ray diffraction stick pattern of Y5RhS4 was calculated for copper Kα.
Peak positions follow from Bragg's law for the DFT cell and can differ from measured ones.

Most intense lines, 10° ≤ 2θ ≤ 90°, by angle:
Position (°2θ)	I (rel.)
27.63	27.7
31.91	51.9
32.07	100.0
45.87	69.5
45.99	35.0
57.06	36.2
76.29	14.9
85.07	22.4

Crystal structure
abc: 3.947 3.947 28.046
angles: 90.00 90.00 90.00
Space group I4/mmm (No. 139)
Inequivalent atoms, fractional coordinates:
Y1 0.000 0.000 0.000 x2
Y2 0.000 0.000 0.203 x4
Y3 0.000 0.000 0.401 x4
Rh1 0.000 0.000 0.500 x2
S1 0.000 0.000 0.104 x4
S2 0.000 0.000 0.302 x4



(5)
Starting from DFT lattice parameters and positions (GGA-PBE), the X-ray diffraction stick pattern of Cd12In4Sn was calculated for copper Kα.
Peak positions follow from Bragg's law for the DFT cell and can differ from measured ones.

Most intense lines, 10° ≤ 2θ ≤ 90°, by angle:
Position (°2θ)	I (rel.)
25.21	14.3
28.24	100.0
33.55	36.4
40.36	33.7
44.41	31.4
46.33	44.7
63.09	12.3
83.14	14.4

Crystal structure
abc: 14.1390 14.1390 8.6474
angles: 90.00 90.00 120.00
Space group R-3 (No. 148, hexagonal axes)
Inequivalent atoms, fractional coordinates:
Cd1 0.0201 0.8343 0.3316 x18
Cd2 0.0504 0.4523 0.8042 x18
In1 0.0000 0.0000 0.5000 x3
In2 0.0000 0.5000 0.5000 x9
Sn1 0.0000 0.0000 0.0000 x3



(6)
Starting from DFT lattice parameters and positions (GGA-PBE), the X-ray diffraction stick pattern of Zn2AsPb was calculated for copper Kα.
Peak positions follow from Bragg's law for the DFT cell and can differ from measured ones.

Most intense lines, 10° ≤ 2θ ≤ 90°, by angle:
Position (°2θ)	I (rel.)
16.44	13.1
26.19	13.5
27.40	100.0
31.08	22.3
37.37	35.1
46.96	43.2
49.16	34.7
75.91	14.3

Crystal structure
abc: 6.806 6.806 8.839
angles: 90.00 90.00 90.00
Space group I-42d (No. 122)
Inequivalent atoms, fractional coordinates:
Zn1 0.195 0.250 0.125 x8
As1 0.000 0.000 0.000 x4
Pb1 0.000 0.000 0.500 x4



(7)
Starting from DFT lattice parameters and positions (GGA-PBE), the X-ray diffraction stick pattern of Mg6Bi2Au was calculated for copper Kα.
Peak positions follow from Bragg's law for the DFT cell and can differ from measured ones.

Most intense lines, 10° ≤ 2θ ≤ 90°, by angle:
Position (°2θ)	I (rel.)
22.97	100.0
25.24	70.3
31.61	19.9
34.39	49.3
40.34	37.9
41.76	54.6
49.87	26.7
60.92	22.9

Crystal structure
abc: 4.149 13.408 7.748
angles: 90.00 90.00 90.00
Space group Amm2 (No. 38)
Inequivalent atoms, fractional coordinates:
Mg1 0.000 0.000 0.000 x2
Mg2 0.000 0.119 0.642 x4
Mg3 0.500 0.000 0.395 x2
Mg4 0.500 0.184 0.945 x4
Bi1 0.000 0.167 0.262 x4
Au1 0.500 0.000 0.762 x2



(8)
Starting from DFT lattice parameters and positions (GGA-PBE), the X-ray diffraction stick pattern of Tb5O9 was calculated for copper Kα.
Peak positions follow from Bragg's law for the DFT cell and can differ from measured ones.

Most intense lines, 10° ≤ 2θ ≤ 90°, by angle:
Position (°2θ)	I (rel.)
28.39	100.0
31.63	11.1
33.51	21.4
46.74	31.9
48.12	15.4
54.36	14.6
56.82	26.0
58.73	9.1

Crystal structure
abc: 8.456 8.456 5.658
angles: 90.00 90.00 90.00
Space group I-4 (No. 82)
Inequivalent atoms, fractional coordinates:
Tb1 0.000 0.000 0.000 x2
Tb2 0.113 0.285 0.469 x8
O1 0.000 0.500 0.250 x2
O2 0.088 0.766 0.750 x8
O3 0.096 0.813 0.253 x8



(9)
Starting from DFT lattice parameters and positions (GGA-PBE), the X-ray diffraction stick pattern of Tm3Si4Au2 was calculated for copper Kα.
Peak positions follow from Bragg's law for the DFT cell and can differ from measured ones.

Most intense lines, 10° ≤ 2θ ≤ 90°, by angle:
Position (°2θ)	I (rel.)
18.25	15.4
33.66	100.0
34.05	22.9
34.15	25.6
42.71	23.4
43.76	42.8
46.50	18.2
55.75	23.9

Crystal structure
abc: 10.580 4.234 8.104
angles: 90.00 103.59 90.00
Space group C2/m (No. 12)
Inequivalent atoms, fractional coordinates:
Tm1 0.000 0.000 0.000 x2
Tm2 0.163 0.500 0.674 x4
Si1 0.056 0.000 0.392 x4
Si2 0.225 0.500 0.051 x4
Au1 0.115 0.500 0.281 x4



(10)
Starting from DFT lattice parameters and positions (GGA-PBE), the X-ray diffraction stick pattern of Ba4GaGe3 was calculated for copper Kα.
Peak positions follow from Bragg's law for the DFT cell and can differ from measured ones.

Most intense lines, 10° ≤ 2θ ≤ 90°, by angle:
Position (°2θ)	I (rel.)
24.85	23.9
27.79	61.2
27.90	100.0
34.65	63.6
35.53	33.9
41.25	22.2
50.47	23.1
50.99	23.7

Crystal structure
abc: 4.377 5.053 12.468
angles: 90.00 90.00 90.00
Space group Pmm2 (No. 25)
Inequivalent atoms, fractional coordinates:
Ba1 0.000 0.000 0.000 x1
Ba2 0.000 0.500 0.491 x1
Ba3 0.500 0.000 0.718 x1
Ba4 0.500 0.500 0.222 x1
Ga1 0.000 0.500 0.799 x1
Ge1 0.000 0.000 0.294 x1
Ge2 0.500 0.000 0.419 x1
Ge3 0.500 0.500 0.922 x1



(11)
Starting from DFT lattice parameters and positions (GGA-PBE), the X-ray diffraction stick pattern of DyEr3Ga3 was calculated for copper Kα.
Peak positions follow from Bragg's law for the DFT cell and can differ from measured ones.

Most intense lines, 10° ≤ 2θ ≤ 90°, by angle:
Position (°2θ)	I (rel.)
27.17	17.7
29.51	17.6
30.19	26.1
35.69	100.0
37.70	25.0
49.04	13.7
54.58	14.3
66.76	16.0

Crystal structure
abc: 9.0432 9.0432 4.7718
angles: 90.00 90.00 120.00
Space group P6_3/m (No. 176)
Inequivalent atoms, fractional coordinates:
Dy1 0.3333 0.6667 0.2500 x2
Er1 0.0139 0.7613 0.7500 x6
Ga1 0.0590 0.4498 0.7500 x6



(12)
Starting from DFT lattice parameters and positions (GGA-PBE), the X-ray diffraction stick pattern of Cd5In2Hg4 was calculated for copper Kα.
Peak positions follow from Bragg's law for the DFT cell and can differ from measured ones.

Most intense lines, 10° ≤ 2θ ≤ 90°, by angle:
Position (°2θ)	I (rel.)
30.11	67.7
30.21	19.4
30.98	45.5
32.07	50.4
35.46	100.0
35.90	76.2
38.92	20.2
63.04	17.9

Crystal structure
abc: 20.332 3.227 8.942
angles: 90.00 102.77 90.00
Space group C2/m (No. 12)
Inequivalent atoms, fractional coordinates:
Cd1 0.000 0.000 0.000 x2
Cd2 0.130 0.500 0.106 x4
Cd3 0.234 0.000 0.339 x4
In1 0.116 0.500 0.470 x4
Hg1 0.031 0.500 0.713 x4
Hg2 0.182 0.000 0.855 x4